PaZnCo2: theoretical powder XRD pattern (Cu Kα X-rays), based on a crystal structure in Alexandria, relaxed with PBE.

a = 4.918 Å, b = 4.042 Å, c = 6.322 Å
α = 90.00°, β = 90.00°, γ = 90.00°
Space group Pmma (No. 51)
Symmetry-distinct sites (fractional):
Pa1 0.250 0.000 0.241 [2 per cell]
Zn1 0.250 0.500 0.871 [2 per cell]
Co1 0.000 0.500 0.500 [2 per cell]
Co2 0.250 0.000 0.652 [2 per cell]

Main lines, by angle (15° ≤ 2θ ≤ 90°):
- 4.042 Å, 2θ = 21.99°, intensity 29, hkl 0 1 0
- 3.882 Å, 2θ = 22.91°, intensity 32, hkl 1 0 1
- 2.800 Å, 2θ = 31.97°, intensity 100, hkl 1 1 1
- 2.490 Å, 2θ = 36.07°, intensity 65, hkl 0 1 2
- 2.459 Å, 2θ = 36.54°, intensity 30, hkl 2 0 0
- 2.101 Å, 2θ = 43.06°, intensity 34, hkl 2 1 0
- 2.021 Å, 2θ = 44.85°, intensity 34, hkl 0 2 0
- 1.941 Å, 2θ = 46.80°, intensity 33, hkl 2 0 2
- 1.748 Å, 2θ = 52.33°, intensity 35, hkl 1 1 3
- 1.399 Å, 2θ = 66.87°, intensity 42, hkl 2 2 2

PaZn11Co: theoretical powder XRD pattern (Cu Kα X-rays), based on a crystal structure in Alexandria, relaxed with PBE.

a = 5.048 Å, b = 12.686 Å, c = 6.714 Å
α = 90.00°, β = 111.91°, γ = 90.00°
Space group C2/m (No. 12)
Symmetry-distinct sites (fractional):
Pa1 0.000 0.000 0.000 [2 per cell]
Zn1 0.000 0.500 0.500 [2 per cell]
Zn2 0.115 0.394 0.219 [8 per cell]
Zn3 0.161 0.171 0.359 [8 per cell]
Zn4 0.250 0.250 0.000 [4 per cell]
Co1 0.000 0.000 0.500 [2 per cell]

Main lines, by angle (15° ≤ 2θ ≤ 90°):
- 4.390 Å, 2θ = 20.23°, intensity 19, hkl 1 1 0
- 3.137 Å, 2θ = 28.46°, intensity 29, hkl 1 3 -1
- 3.111 Å, 2θ = 28.70°, intensity 34, hkl 1 1 1
- 2.556 Å, 2θ = 35.12°, intensity 81, hkl 1 3 1
- 2.524 Å, 2θ = 35.57°, intensity 26, hkl 2 0 -1
- 2.230 Å, 2θ = 40.44°, intensity 75, hkl 1 5 0
- 2.222 Å, 2θ = 40.60°, intensity 80, hkl 0 4 2
- 2.200 Å, 2θ = 41.02°, intensity 81, hkl 1 1 -3
- 2.195 Å, 2θ = 41.13°, intensity 100, hkl 2 2 -2
- 1.975 Å, 2θ = 45.96°, intensity 23, hkl 2 4 -1

ZrPaCo: theoretical powder XRD pattern (Cu Kα X-rays), based on a crystal structure in Alexandria, relaxed with PBE.

a = 5.025 Å, b = 9.405 Å, c = 19.517 Å
α = 90.00°, β = 90.00°, γ = 90.00°
Space group Fddd (No. 70, origin choice 2)
Symmetry-distinct sites (fractional):
Zr1 0.125 0.291 0.125 [16 per cell]
Pa1 0.125 0.125 0.543 [16 per cell]
Co1 0.125 0.125 0.002 [16 per cell]

Main lines, by angle (15° ≤ 2θ ≤ 90°):
- 4.322 Å, 2θ = 20.55°, intensity 45, hkl 1 1 1
- 2.929 Å, 2θ = 30.52°, intensity 60, hkl 1 1 5
- 2.675 Å, 2θ = 33.50°, intensity 100, hkl 0 2 6
- 2.635 Å, 2θ = 34.02°, intensity 75, hkl 1 3 1
- 2.433 Å, 2θ = 36.95°, intensity 45, hkl 2 0 2
- 2.360 Å, 2θ = 38.13°, intensity 76, hkl 1 1 7
- 2.216 Å, 2θ = 40.72°, intensity 45, hkl 2 2 0
- 2.118 Å, 2θ = 42.69°, intensity 31, hkl 0 4 4
- 2.018 Å, 2θ = 44.93°, intensity 53, hkl 2 2 4
- 1.518 Å, 2θ = 61.02°, intensity 46, hkl 2 4 6

Co2Pb: theoretical powder XRD pattern (Cu Kα X-rays), based on a crystal structure in Alexandria, relaxed with PBE.

a = 3.087 Å, b = 5.457 Å, c = 11.625 Å
α = 90.00°, β = 90.00°, γ = 90.00°
Space group Immm (No. 71)
Symmetry-distinct sites (fractional):
Co1 0.000 0.000 0.105 [4 per cell]
Co2 0.000 0.237 0.500 [4 per cell]
Pb1 0.000 0.500 0.179 [4 per cell]

Main lines, by angle (15° ≤ 2θ ≤ 90°):
- 3.159 Å, 2θ = 28.25°, intensity 71, hkl 0 1 3
- 2.728 Å, 2θ = 32.83°, intensity 36, hkl 0 2 0
- 2.687 Å, 2θ = 33.34°, intensity 31, hkl 1 1 0
- 2.470 Å, 2θ = 36.38°, intensity 40, hkl 0 2 2
- 2.439 Å, 2θ = 36.85°, intensity 56, hkl 1 1 2
- 2.415 Å, 2θ = 37.24°, intensity 100, hkl 1 0 3
- 2.139 Å, 2θ = 42.25°, intensity 45, hkl 0 1 5
- 2.014 Å, 2θ = 45.02°, intensity 56, hkl 1 2 1
- 1.808 Å, 2θ = 50.47°, intensity 28, hkl 1 2 3
- 1.572 Å, 2θ = 58.75°, intensity 32, hkl 1 1 6

CoPb2: theoretical powder XRD pattern (Cu Kα X-rays), based on a crystal structure in Alexandria, relaxed with PBE.

a = 3.320 Å, b = 18.339 Å, c = 4.527 Å
α = 90.00°, β = 90.00°, γ = 90.00°
Space group Cmcm (No. 63)
Symmetry-distinct sites (fractional):
Co1 0.000 0.055 0.250 [4 per cell]
Pb1 0.000 0.308 0.750 [4 per cell]
Pb2 0.000 0.432 0.250 [4 per cell]

Main lines, by angle (15° ≤ 2θ ≤ 90°):
- 3.267 Å, 2θ = 27.30°, intensity 35, hkl 1 1 0
- 3.221 Å, 2θ = 27.69°, intensity 100, hkl 0 4 1
- 2.452 Å, 2θ = 36.64°, intensity 97, hkl 1 3 1
- 2.292 Å, 2θ = 39.30°, intensity 35, hkl 0 8 0
- 2.264 Å, 2θ = 39.82°, intensity 37, hkl 0 0 2
- 2.162 Å, 2θ = 41.77°, intensity 47, hkl 1 5 1
- 2.057 Å, 2θ = 44.03°, intensity 18, hkl 1 7 0
- 1.611 Å, 2θ = 57.19°, intensity 24, hkl 0 8 2
- 1.476 Å, 2θ = 62.99°, intensity 22, hkl 2 4 1
- 1.415 Å, 2θ = 66.01°, intensity 21, hkl 1 11 1

Pm6Co2Pb: theoretical powder XRD pattern (Cu Kα X-rays), based on a crystal structure in Alexandria, relaxed with PBE.

a = 9.628 Å, b = 10.085 Å, c = 10.249 Å
α = 90.00°, β = 90.00°, γ = 90.00°
Space group Immm (No. 71)
Symmetry-distinct sites (fractional):
Pm1 0.000 0.208 0.233 [8 per cell]
Pm2 0.184 0.500 0.177 [8 per cell]
Pm3 0.213 0.316 0.500 [8 per cell]
Co1 0.000 0.347 0.000 [4 per cell]
Co2 0.000 0.500 0.390 [4 per cell]
Pb1 0.000 0.000 0.000 [2 per cell]
Pb2 0.000 0.000 0.500 [2 per cell]

Main lines, by angle (15° ≤ 2θ ≤ 90°):
- 3.058 Å, 2θ = 29.20°, intensity 32, hkl 3 1 0
- 2.880 Å, 2θ = 31.05°, intensity 100, hkl 2 2 2
- 2.698 Å, 2θ = 33.20°, intensity 53, hkl 1 3 2
- 2.685 Å, 2θ = 33.37°, intensity 23, hkl 2 1 3
- 2.662 Å, 2θ = 33.67°, intensity 27, hkl 2 3 1
- 2.618 Å, 2θ = 34.26°, intensity 17, hkl 3 2 1
- 2.406 Å, 2θ = 37.37°, intensity 27, hkl 4 0 0
- 1.708 Å, 2θ = 53.67°, intensity 18, hkl 3 5 0
- 1.634 Å, 2θ = 56.30°, intensity 16, hkl 2 5 3
- 1.589 Å, 2θ = 58.07°, intensity 23, hkl 5 3 2